[1]
Nd12Y2Th: simulated X-ray diffraction stick pattern (Cu Ka), based on a PBE-relaxed structure.
No peak broadening, texture or thermal motion is included.

Peak list (10 most intense, 2θ from 5° to 70°, in order of falling intensity)
2θ/deg, Rel. int.
30.55, 100
32.34, 87
36.32, 78
30.01, 71
29.18, 67
32.50, 61
25.75, 35
28.58, 32
31.07, 31
61.46, 28

```
Nd12Y2Th
1.0
3.599 -5.852 0.000
3.599 5.852 0.000
0.000 0.000 25.135
Nd Y Th
24 4 2
Direct
0.001 0.501 0.126
0.002 0.998 0.926
0.019 0.519 0.586
0.024 0.976 0.440
0.250 0.250 0.200
0.250 0.250 0.325
0.250 0.250 0.675
0.250 0.250 0.800
0.476 0.524 0.440
0.481 0.981 0.586
0.498 0.502 0.926
0.499 0.999 0.126
0.501 0.001 0.874
0.502 0.498 0.074
0.519 0.019 0.414
0.524 0.476 0.560
0.750 0.750 0.200
0.750 0.750 0.325
0.750 0.750 0.675
0.750 0.750 0.800
0.976 0.024 0.560
0.981 0.481 0.414
0.998 0.002 0.074
0.999 0.499 0.874
0.250 0.750 0.271
0.250 0.750 0.733
0.750 0.250 0.267
0.750 0.250 0.729
0.250 0.750 0.001
0.750 0.250 0.999
```

---

[2]
Mn2FeNi7Ge2: simulated X-ray diffraction stick pattern (Cu Ka), based on a PBE-relaxed structure.
No peak broadening, texture or thermal motion is included.

Peak list (10 most intense, 2θ from 5° to 70°, in order of falling intensity)
2θ/deg, Rel. int.
42.71, 100
43.05, 42
50.69, 29
48.40, 28
48.29, 23
36.35, 19
51.38, 18
53.40, 14
35.44, 10
56.67, 8

```
Mn2FeNi7Ge2
1.0
2.533 -2.561 0.000
2.533 2.561 0.000
0.000 0.000 11.283
Mn Fe Ni Ge
2 1 7 2
Direct
0.000 0.000 0.176
0.000 0.000 0.824
0.500 0.500 0.500
0.000 0.000 0.500
0.000 0.500 0.345
0.000 0.500 0.655
0.268 0.732 0.000
0.500 0.000 0.345
0.500 0.000 0.655
0.732 0.268 0.000
0.500 0.500 0.194
0.500 0.500 0.806
```

---

[3]
Ni2AsP: simulated X-ray diffraction stick pattern (Cu Ka), based on a PBE-relaxed structure.
No peak broadening, texture or thermal motion is included.

Peak list (10 most intense, 2θ from 5° to 70°, in order of falling intensity)
2θ/deg, Rel. int.
46.32, 100
34.46, 89
46.60, 53
48.01, 52
34.81, 51
53.12, 47
35.40, 35
29.65, 33
49.70, 30
52.35, 28

```
Ni2AsP
1.0
5.162 0.000 0.000
0.000 13.980 0.000
0.000 0.000 5.947
Ni As P
16 8 8
Direct
0.007 0.051 0.198
0.007 0.449 0.698
0.010 0.662 0.697
0.010 0.838 0.197
0.490 0.162 0.697
0.490 0.338 0.197
0.493 0.551 0.198
0.493 0.949 0.698
0.507 0.051 0.302
0.507 0.449 0.802
0.510 0.662 0.803
0.510 0.838 0.303
0.990 0.162 0.803
0.990 0.338 0.303
0.993 0.551 0.302
0.993 0.949 0.802
0.182 0.685 0.077
0.182 0.815 0.577
0.318 0.185 0.077
0.318 0.315 0.577
0.682 0.685 0.423
0.682 0.815 0.923
0.818 0.185 0.423
0.818 0.315 0.923
0.185 0.060 0.565
0.185 0.440 0.065
0.315 0.560 0.565
0.315 0.940 0.065
0.685 0.060 0.935
0.685 0.440 0.435
0.815 0.560 0.935
0.815 0.940 0.435
```

---

[4]
SrH6Au3: simulated X-ray diffraction stick pattern (Cu Ka), based on a PBE-relaxed structure.
No peak broadening, texture or thermal motion is included.

Peak list (10 most intense, 2θ from 5° to 70°, in order of falling intensity)
2θ/deg, Rel. int.
29.15, 100
26.21, 90
28.37, 80
32.36, 73
32.51, 67
42.50, 63
33.66, 51
36.51, 50
53.55, 29
62.82, 27

```
SrH6Au3
1.0
5.116 0.000 0.000
0.000 4.608 0.000
-1.983 0.000 11.065
Sr H Au
2 12 6
Direct
0.082 0.000 0.276
0.918 0.500 0.724
0.013 0.001 0.035
0.028 0.889 0.505
0.114 0.004 0.774
0.244 0.489 0.241
0.477 0.497 0.946
0.489 0.866 0.424
0.511 0.366 0.576
0.523 0.997 0.054
0.756 0.989 0.759
0.886 0.504 0.226
0.972 0.389 0.495
0.987 0.501 0.965
0.262 0.749 0.004
0.288 0.644 0.536
0.433 0.993 0.762
0.567 0.493 0.238
0.712 0.144 0.464
0.738 0.249 0.996
```

---

[5]
Cs3Tl7Sb4: simulated X-ray diffraction stick pattern (Cu Ka), based on a PBE-relaxed structure.
No peak broadening, texture or thermal motion is included.

Peak list (10 most intense, 2θ from 5° to 70°, in order of falling intensity)
2θ/deg, Rel. int.
34.65, 100
27.28, 85
28.28, 82
30.29, 43
32.61, 42
29.37, 32
48.34, 31
27.75, 28
26.72, 21
14.39, 20

```
Cs3Tl7Sb4
1.0
10.015 -2.587 0.000
10.015 2.587 0.000
-7.013 0.000 10.140
Cs Tl Sb
3 7 4
Direct
0.000 0.000 0.000
0.303 0.303 0.303
0.697 0.697 0.697
0.000 0.000 0.500
0.158 0.158 0.444
0.317 0.317 0.964
0.500 0.500 0.304
0.500 0.500 0.696
0.683 0.683 0.036
0.842 0.842 0.556
0.122 0.122 0.844
0.348 0.348 0.712
0.652 0.652 0.288
0.878 0.878 0.156
```

---

[6]
Tc2Ir2Ru5: simulated X-ray diffraction stick pattern (Cu Ka), based on a PBE-relaxed structure.
No peak broadening, texture or thermal motion is included.

Peak list (10 most intense, 2θ from 5° to 70°, in order of falling intensity)
2θ/deg, Rel. int.
40.67, 100
47.28, 32
69.15, 31
47.38, 16
11.45, 7
21.18, 3
29.56, 3
32.21, 2
26.27, 2
37.05, 1

```
Tc2Ir2Ru5
1.0
4.296 -1.923 0.000
4.296 1.923 0.000
-2.591 0.000 7.727
Tc Ir Ru
2 2 5
Direct
0.167 0.167 0.055
0.833 0.833 0.945
0.167 0.167 0.388
0.833 0.833 0.612
0.165 0.165 0.725
0.500 0.500 0.166
0.500 0.500 0.500
0.500 0.500 0.834
0.835 0.835 0.275
```

---

[7]
Sm2TmTe2As2: simulated X-ray diffraction stick pattern (Cu Ka), based on a PBE-relaxed structure.
No peak broadening, texture or thermal motion is included.

Peak list (10 most intense, 2θ from 5° to 70°, in order of falling intensity)
2θ/deg, Rel. int.
33.43, 100
23.87, 78
34.01, 76
48.44, 71
48.86, 27
11.37, 23
60.49, 22
55.09, 17
33.29, 12
49.29, 7

```
Sm2TmTe2As2
1.0
5.272 0.000 0.000
0.000 5.272 0.000
0.000 0.000 15.563
Sm Tm Te As
4 2 4 4
Direct
0.000 0.000 0.112
0.000 0.000 0.888
0.500 0.500 0.388
0.500 0.500 0.612
0.000 0.000 0.500
0.500 0.500 0.000
0.000 0.000 0.307
0.000 0.000 0.693
0.500 0.500 0.193
0.500 0.500 0.807
0.000 0.500 0.000
0.000 0.500 0.500
0.500 0.000 0.000
0.500 0.000 0.500
```

---

[8]
TlCd2Pd3: simulated X-ray diffraction stick pattern (Cu Ka), based on a PBE-relaxed structure.
No peak broadening, texture or thermal motion is included.

Peak list (10 most intense, 2θ from 5° to 70°, in order of falling intensity)
2θ/deg, Rel. int.
38.61, 100
38.16, 52
69.27, 35
55.07, 18
56.41, 8
9.04, 6
32.49, 3
28.27, 3
26.73, 2
18.13, 2

```
TlCd2Pd3
1.0
3.335 0.000 0.000
0.000 3.335 0.000
0.000 0.000 9.787
Tl Cd Pd
1 2 3
Direct
0.000 0.000 0.000
0.000 0.000 0.338
0.000 0.000 0.662
0.500 0.500 0.172
0.500 0.500 0.500
0.500 0.500 0.828
```

---

[9]
Nd3Al2Zn3: simulated X-ray diffraction stick pattern (Cu Ka), based on a PBE-relaxed structure.
No peak broadening, texture or thermal motion is included.

Peak list (10 most intense, 2θ from 5° to 70°, in order of falling intensity)
2θ/deg, Rel. int.
31.99, 100
32.18, 66
39.49, 36
24.25, 33
33.10, 28
39.92, 24
21.95, 20
52.79, 18
34.20, 18
36.48, 17

```
Nd3Al2Zn3
1.0
2.282 -5.413 0.000
2.282 5.413 0.000
0.000 0.000 14.985
Nd Al Zn
6 4 6
Direct
0.096 0.904 0.608
0.096 0.904 0.892
0.387 0.613 0.750
0.613 0.387 0.250
0.904 0.096 0.108
0.904 0.096 0.392
0.201 0.799 0.097
0.201 0.799 0.403
0.799 0.201 0.597
0.799 0.201 0.903
0.321 0.679 0.250
0.386 0.614 0.535
0.386 0.614 0.965
0.614 0.386 0.035
0.614 0.386 0.465
0.679 0.321 0.750
```

---

[10]
NbCd2GaO6: simulated X-ray diffraction stick pattern (Cu Ka), based on a PBE-relaxed structure.
No peak broadening, texture or thermal motion is included.

Peak list (10 most intense, 2θ from 5° to 70°, in order of falling intensity)
2θ/deg, Rel. int.
30.08, 100
34.04, 34
58.49, 29
50.75, 23
48.91, 21
44.07, 11
36.47, 11
18.00, 10
61.73, 10
62.52, 9

```
NbCd2GaO6
1.0
5.267 0.000 0.000
0.000 5.267 0.000
0.000 0.000 4.927
Nb Cd Ga O
1 2 1 6
Direct
0.000 0.000 0.000
0.000 0.500 0.427
0.500 0.000 0.427
0.500 0.500 0.994
0.000 0.000 0.623
0.251 0.251 0.129
0.251 0.749 0.129
0.500 0.500 0.620
0.749 0.251 0.129
0.749 0.749 0.129
```

---

[11]
Ba11Ta6S26: simulated X-ray diffraction stick pattern (Cu Ka), based on a PBE-relaxed structure.
No peak broadening, texture or thermal motion is included.

Peak list (10 most intense, 2θ from 5° to 70°, in order of falling intensity)
2θ/deg, Rel. int.
25.32, 100
25.82, 56
6.32, 36
14.90, 34
33.09, 29
33.50, 23
45.22, 19
15.30, 19
36.38, 18
33.59, 17

```
Ba11Ta6S26
1.0
6.904 0.000 0.000
-0.024 12.265 0.000
-3.261 -1.780 13.978
Ba Ta S
11 6 26
Direct
0.000 0.000 0.000
0.004 0.688 0.206
0.096 0.348 0.217
0.209 0.066 0.420
0.300 0.423 0.601
0.421 0.127 0.818
0.500 0.478 0.004
0.609 0.141 0.202
0.717 0.538 0.420
0.763 0.903 0.585
0.903 0.623 0.811
0.221 0.723 0.478
0.359 0.788 0.715
0.490 0.799 0.958
0.734 0.222 0.480
0.887 0.278 0.713
0.964 0.314 0.945
0.017 0.496 0.020
0.070 0.660 0.615
0.072 0.182 0.611
0.076 0.090 0.210
0.159 0.384 0.811
0.177 0.854 0.833
0.226 0.551 0.390
0.249 0.914 0.605
0.269 0.247 0.023
0.360 0.735 0.070
0.395 0.823 0.397
0.434 0.638 0.830
0.458 0.289 0.386
0.507 0.991 0.004
0.533 0.674 0.604
0.582 0.162 0.608
0.657 0.882 0.793
0.666 0.363 0.817
0.720 0.491 0.211
0.727 0.045 0.401
0.762 0.245 0.030
0.777 0.411 0.605
0.827 0.762 0.005
0.900 0.770 0.404
0.930 0.137 0.821
0.970 0.306 0.414
```

---

Number 11 is which compound?
Ba11Ta6S26